Record 1
Theoretical powder diffraction line list
Compound: Na2UO4
Radiation: Cu Kα (λ = 1.5418 Å)
Structure: a cell relaxed with GGA-PBE
Lines closer than 0.1° are merged.

Principal peaks in the range 10 to 90 degrees two-theta, low angle first:
| d [Å] | I (rel.) | (hkl) |
| --- | --- | --- |
| 5.940 | 69 | 0 0 2 |
| 4.084 | 100 | 1 0 1 |
| 3.075 | 41 | 1 1 0 |
| 2.928 | 54 | 1 0 3 |
| 2.731 | 21 | 1 1 2 |
| 2.175 | 24 | 2 0 0 |
| 2.085 | 22 | 1 0 5 |
| 2.042 | 18 | 2 0 2 |
| 1.920 | 26 | 2 1 1 |
| 1.746 | 25 | 2 1 3 |

Structural model:
a = 4.3493 Å, b = 4.3493 Å, c = 11.8803 Å
α = 90.00°, β = 90.00°, γ = 90.00°
Space group I4/mmm (No. 139)
Symmetry-distinct sites (fractional):
Na  0.0000  0.0000  0.1472
U  0.0000  0.0000  0.5000
O  0.0000  0.0000  0.3375
O  0.0000  0.5000  0.0000



Record 2
Theoretical powder diffraction line list
Compound: Na5U5O18
Radiation: Cu Kα (λ = 1.5418 Å)
Structure: a cell relaxed with GGA-PBE
Lines closer than 0.1° are merged.

Principal peaks in the range 10 to 90 degrees two-theta, low angle first:
| d [Å] | I (rel.) | (hkl) |
| --- | --- | --- |
| 6.096 | 100 | 2 0 0 |
| 3.383 | 72 | 1 5 -1 |
| 3.221 | 87 | 1 5 1 |
| 3.048 | 27 | 4 0 0 |
| 2.750 | 39 | 3 5 -1 |
| 1.987 | 30 | 0 10 0 |
| 1.903 | 15 | 5 5 1 |
| 1.889 | 25 | 2 10 0 |
| 1.691 | 13 | 2 10 -2 |
| 1.666 | 16 | 4 10 0 |

Structural model:
a = 12.4151 Å, b = 19.8691 Å, c = 6.8855 Å
α = 90.00°, β = 100.86°, γ = 90.00°
Space group Cc (No. 9)
Symmetry-distinct sites (fractional):
Na  0.9999  0.0514  0.0002
Na  0.9999  0.1459  0.5003
Na  0.9999  0.2497  0.0002
Na  0.0000  0.3506  0.5000
Na  0.0002  0.4441  0.9996
U  0.2462  0.3474  0.2774
U  0.2496  0.0445  0.7612
U  0.2499  0.2500  0.7500
U  0.2504  0.4555  0.7389
U  0.2537  0.1526  0.2225
O  0.0909  0.3480  0.2264
O  0.0943  0.0509  0.7044
O  0.0953  0.2394  0.6888
O  0.0965  0.4627  0.6790
O  0.0995  0.1543  0.1783
O  0.2314  0.3506  0.6297
O  0.2367  0.0488  0.0852
O  0.2386  0.2637  0.0611
O  0.2410  0.4177  0.0308
O  0.2588  0.0823  0.4692
O  0.2613  0.2363  0.4389
O  0.2634  0.4511  0.4150
O  0.2685  0.1494  0.8703
O  0.4004  0.3457  0.3216
O  0.4035  0.0374  0.8210
O  0.4046  0.2606  0.8111
O  0.4057  0.4491  0.7957
O  0.4091  0.1520  0.2736



Record 3
Theoretical powder diffraction line list
Compound: Na2UO4
Radiation: Cu Kα (λ = 1.5418 Å)
Structure: a cell relaxed with GGA-PBE
Lines closer than 0.1° are merged.

Principal peaks in the range 10 to 90 degrees two-theta, low angle first:
| d [Å] | I (rel.) | (hkl) |
| --- | --- | --- |
| 6.079 | 76 | 0 2 0 |
| 3.973 | 100 | 1 1 1 |
| 2.973 | 41 | 0 0 2 |
| 2.918 | 58 | 1 3 1 |
| 2.671 | 25 | 2 2 0 |
| 2.104 | 39 | 2 0 2 |
| 1.987 | 17 | 2 2 2 |
| 1.858 | 29 | 1 1 3 |
| 1.706 | 29 | 3 3 1 |
| 1.487 | 17 | 4 0 0 |

Structural model:
a = 5.9494 Å, b = 12.1586 Å, c = 5.9418 Å
α = 90.00°, β = 90.00°, γ = 90.00°
Space group Pccn (No. 56)
Symmetry-distinct sites (fractional):
Na  0.0285  0.1571  0.0377
U  0.0000  0.0000  0.5000
O  0.0658  0.1556  0.4695
O  0.1875  0.5273  0.6899